Diffraction record for Co7Te2. The XRD peak list is simulated, not measured: it uses a cell relaxed with GGA-PBE and Cu Kα.

```
data_Co7Te2
_chemical_formula_sum 'Co7 Te2'
_space_group_name_H-M_alt 'P 3 m 1'
_space_group_IT_number 156
_cell_length_a 2.9092
_cell_length_b 2.9092
_cell_length_c 27.7006
_cell_angle_alpha 90.00
_cell_angle_beta 90.00
_cell_angle_gamma 120.00
loop_
_space_group_symop_operation_xyz
'x,y,z'
'-y,x-y,z'
'-x+y,-x,z'
'-y,-x,z'
'-x+y,y,z'
'x,x-y,z'
loop_
_atom_site_label
_atom_site_type_symbol
_atom_site_fract_x
_atom_site_fract_y
_atom_site_fract_z
_atom_site_occupancy
Co1 Co 0.0000 0.0000 0.0000 1
Co2 Co 0.0000 0.0000 0.1913 1
Co3 Co 0.3333 0.6667 0.1272 1
Co4 Co 0.3333 0.6667 0.3192 1
Co5 Co 0.3333 0.6667 0.9356 1
Co6 Co 0.6667 0.3333 0.0630 1
Co7 Co 0.6667 0.3333 0.2546 1
Te1 Te 0.0000 0.0000 0.3916 1
Te2 Te 0.6667 0.3333 0.8633 1
```

Largest 10 diffraction maxima, by angle, 15 to 90 degrees two-theta:
two_theta  I (rel.)  (hkl)
35.79  18  1 0 1
36.98  18  1 0 3
38.01  17  1 0 4
39.28  100  1 0 5
40.80  33  1 0 6
48.87  49  0 1 10
49.35  14  0 0 15
51.30  19  0 1 11
64.03  30  1 1 0
84.85  16  1 1 15

Diffraction record for Co8Te. The XRD peak list is simulated, not measured: it uses a cell relaxed with GGA-PBE and Cu Kα.

```
data_Co8Te
_chemical_formula_sum 'Co32 Te4'
_space_group_name_H-M_alt 'C 1 2/m 1'
_space_group_IT_number 12
_cell_length_a 7.782
_cell_length_b 3.548
_cell_length_c 28.291
_cell_angle_alpha 90.00
_cell_angle_beta 90.19
_cell_angle_gamma 90.00
loop_
_space_group_symop_operation_xyz
'x,y,z'
'-x,-y,-z'
'-x,y,-z'
'x,-y,z'
'x+1/2,y+1/2,z'
'-x+1/2,-y+1/2,-z'
'-x+1/2,y+1/2,-z'
'x+1/2,-y+1/2,z'
loop_
_atom_site_label
_atom_site_type_symbol
_atom_site_fract_x
_atom_site_fract_y
_atom_site_fract_z
_atom_site_occupancy
Co1 Co 0.049 0.000 0.403 1
Co2 Co 0.051 0.500 0.542 1
Co3 Co 0.053 0.000 0.677 1
Co4 Co 0.150 0.000 0.486 1
Co5 Co 0.150 0.500 0.625 1
Co6 Co 0.154 0.500 0.350 1
Co7 Co 0.249 0.000 0.293 1
Co8 Co 0.249 0.500 0.431 1
Te1 Te 0.051 0.500 0.257 1
```

Largest 10 diffraction maxima, by angle, 15 to 90 degrees two-theta:
two_theta  I (rel.)  (hkl)
37.75  11  1 1 8
42.51  40  1 1 10
44.29  45  3 1 -3
45.11  100  1 1 11
50.84  21  2 0 -14
51.51  19  0 2 0
51.62  13  0 2 1
52.25  18  4 0 7
53.91  17  2 0 -15
75.30  12  2 2 -14

Copy entry 2 word for word.
Diffraction record for Co8Te. The XRD peak list is simulated, not measured: it uses a cell relaxed with GGA-PBE and Cu Kα.

```
data_Co8Te
_chemical_formula_sum 'Co32 Te4'
_space_group_name_H-M_alt 'C 1 2/m 1'
_space_group_IT_number 12
_cell_length_a 7.782
_cell_length_b 3.548
_cell_length_c 28.291
_cell_angle_alpha 90.00
_cell_angle_beta 90.19
_cell_angle_gamma 90.00
loop_
_space_group_symop_operation_xyz
'x,y,z'
'-x,-y,-z'
'-x,y,-z'
'x,-y,z'
'x+1/2,y+1/2,z'
'-x+1/2,-y+1/2,-z'
'-x+1/2,y+1/2,-z'
'x+1/2,-y+1/2,z'
loop_
_atom_site_label
_atom_site_type_symbol
_atom_site_fract_x
_atom_site_fract_y
_atom_site_fract_z
_atom_site_occupancy
Co1 Co 0.049 0.000 0.403 1
Co2 Co 0.051 0.500 0.542 1
Co3 Co 0.053 0.000 0.677 1
Co4 Co 0.150 0.000 0.486 1
Co5 Co 0.150 0.500 0.625 1
Co6 Co 0.154 0.500 0.350 1
Co7 Co 0.249 0.000 0.293 1
Co8 Co 0.249 0.500 0.431 1
Te1 Te 0.051 0.500 0.257 1
```

Largest 10 diffraction maxima, by angle, 15 to 90 degrees two-theta:
two_theta  I (rel.)  (hkl)
37.75  11  1 1 8
42.51  40  1 1 10
44.29  45  3 1 -3
45.11  100  1 1 11
50.84  21  2 0 -14
51.51  19  0 2 0
51.62  13  0 2 1
52.25  18  4 0 7
53.91  17  2 0 -15
75.30  12  2 2 -14